Diffraction record for NaTbRe2O8. The X-ray diffraction stick pattern is calculated, not measured: it uses a GGA-PBE-relaxed structure and Cu Kα.
No peak broadening, texture or thermal motion is included.

Peak list (10 most intense, 10° ≤ 2θ ≤ 90°, sorted by position)
two_theta  I_rel
18.9  27
29.2  100
32.2  15
34.6  21
48.0  30
49.7  14
55.5  17
58.7  28
60.4  12
77.7  13

Crystal structure
a b c (Å): 6.6624 6.6624 6.6624
angles (deg): 134.15 134.15 66.85
Fractional positions:
Na 0.0000 0.0000 0.0000
Tb 0.7500 0.2500 0.5000
Re 0.2500 0.7500 0.5000
Re 0.5000 0.5000 0.0000
O 0.0815 0.0031 0.4228
O 0.1659 0.5733 0.9140
O 0.3413 0.9185 0.9216
O 0.4267 0.3407 0.5927
O 0.5803 0.6587 0.5772
O 0.6593 0.2520 0.0860
O 0.7480 0.8341 0.4073
O 0.9969 0.4197 0.0784

***

Diffraction record for Lu4Zr2Sb3C3. The X-ray diffraction stick pattern is calculated, not measured: it uses a GGA-PBE-relaxed structure and Cu Kα.
No peak broadening, texture or thermal motion is included.

Peak list (10 most intense, 10° ≤ 2θ ≤ 90°, sorted by position)
two_theta  I_rel
29.3  24
34.8  100
37.1  17
48.0  10
51.9  22
64.0  11
65.4  10
65.5  15
65.6  10
86.9  7

Crystal structure
a b c (Å): 6.0979 6.0979 14.9642
angles (deg): 101.87 101.87 60.02
Fractional positions:
Lu 0.0333 0.1938 0.0893
Lu 0.1333 0.3036 0.4107
Lu 0.1938 0.0333 0.5893
Lu 0.3036 0.1333 0.9107
Lu 0.6964 0.8667 0.0893
Lu 0.8062 0.9667 0.4107
Lu 0.8667 0.6964 0.5893
Lu 0.9667 0.8062 0.9107
Zr 0.3581 0.5277 0.0824
Zr 0.4723 0.6419 0.4176
Zr 0.5277 0.3581 0.5824
Zr 0.6419 0.4723 0.9176
Sb 0.0975 0.9025 0.2500
Sb 0.2663 0.4160 0.7507
Sb 0.4160 0.2663 0.2507
Sb 0.5840 0.7337 0.7493
Sb 0.7337 0.5840 0.2493
Sb 0.9025 0.0975 0.7500
C 0.0000 0.5000 0.0000
C 0.1811 0.6597 0.5000
C 0.3403 0.8189 0.0000
C 0.5000 0.0000 0.5000
C 0.6597 0.1811 0.0000
C 0.8189 0.3403 0.5000